Entry 1:
Starting from the GGA-PBE geometry in OQMD, the XRD peak list of Gd2ErMg3Al2In was simulated for Cu Kα (λ = 1.5418 Å).
No peak broadening, texture or thermal motion is included.

Cell: 4.609 12.788 7.439 Å, 90.00 90.00 90.00°
Space group Amm2 (No. 38)
Inequivalent atoms, fractional coordinates:
Gd: 0.000 0.219 0.000 [4 per cell]
Er: 0.000 0.000 0.344 [2 per cell]
Mg: 0.500 0.000 0.027 [2 per cell]
Mg: 0.500 0.123 0.658 [4 per cell]
Al: 0.500 0.165 0.281 [4 per cell]
In: 0.000 0.000 0.778 [2 per cell]

Most intense lines, 5° ≤ 2θ ≤ 70°, low angle first:
19.26 deg, rel. 704, hkl 1 0 0; 27.75 deg, rel. 556, hkl 0 2 2; 27.91 deg, rel. 275, hkl 0 4 0; 30.89 deg, rel. 183, hkl 1 0 2; 31.00 deg, rel. 389, hkl 1 3 1; 34.00 deg, rel. 1000, hkl 1 2 2; 34.13 deg, rel. 505, hkl 1 4 0; 39.09 deg, rel. 296, hkl 2 0 0; 48.64 deg, rel. 361, hkl 2 4 0; 67.61 deg, rel. 202, hkl 3 4 0

Entry 2:
Starting from the GGA-PBE geometry in OQMD, the XRD peak list of Lu4Hf2Co3C3 was simulated for Cu Kα (λ = 1.5418 Å).
No peak broadening, texture or thermal motion is included.

Cell: 5.775 5.790 13.896 Å, 79.14 79.15 60.20°
Space group P-1 (No. 2)
Inequivalent atoms, fractional coordinates:
Lu: 0.037 0.192 0.401 [2 per cell]
Lu: 0.133 0.301 0.100 [2 per cell]
Lu: 0.192 0.037 0.901 [2 per cell]
Lu: 0.301 0.133 0.600 [2 per cell]
Hf: 0.364 0.527 0.402 [2 per cell]
Hf: 0.473 0.636 0.098 [2 per cell]
Co: 0.105 0.424 0.750 [2 per cell]
Co: 0.107 0.893 0.750 [2 per cell]
Co: 0.424 0.105 0.250 [2 per cell]
C: 0.000 0.500 0.500 [1 per cell]
C: 0.201 0.649 0.001 [2 per cell]
C: 0.351 0.798 0.499 [2 per cell]
C: 0.500 0.000 0.000 [1 per cell]

Most intense lines, 5° ≤ 2θ ≤ 70°, low angle first:
13.06 deg, rel. 215, hkl 0 0 2; 26.28 deg, rel. 481, hkl 0 0 4; 30.87 deg, rel. 387, hkl 1 -1 0; 31.54 deg, rel. 673, hkl 1 -1 1; 31.78 deg, rel. 390, hkl 2 1 2; 36.56 deg, rel. 1000, hkl 2 1 -2; 36.83 deg, rel. 901, hkl 1 -1 3; 37.25 deg, rel. 912, hkl 2 1 4; 39.88 deg, rel. 461, hkl 0 0 6; 57.18 deg, rel. 207, hkl 1 -1 7

Entry 3:
Starting from the GGA-PBE geometry in OQMD, the XRD peak list of Dy2TaNbGe2 was simulated for Cu Kα (λ = 1.5418 Å).
No peak broadening, texture or thermal motion is included.

Cell: 4.027 4.027 7.853 Å, 90.00 90.00 90.00°
Space group P-4m2 (No. 115)
Inequivalent atoms, fractional coordinates:
Dy: 0.000 0.500 0.149 [2 per cell]
Ta: 0.000 0.000 0.500 [1 per cell]
Nb: 0.500 0.500 0.500 [1 per cell]
Ge: 0.000 0.500 0.746 [2 per cell]

Most intense lines, 5° ≤ 2θ ≤ 70°, low angle first:
24.85 deg, rel. 179, hkl 1 0 1; 31.83 deg, rel. 568, hkl 1 0 2; 33.47 deg, rel. 1000, hkl 1 1 1; 34.26 deg, rel. 353, hkl 0 0 3; 39.08 deg, rel. 835, hkl 1 1 2; 41.13 deg, rel. 195, hkl 1 0 3; 45.02 deg, rel. 575, hkl 2 0 0; 56.19 deg, rel. 229, hkl 2 1 2; 57.77 deg, rel. 316, hkl 2 0 3; 65.56 deg, rel. 187, hkl 2 2 0

Entry 4:
Starting from the GGA-PBE geometry in OQMD, the XRD peak list of TbGeHO4 was simulated for Cu Kα (λ = 1.5418 Å).
No peak broadening, texture or thermal motion is included.

Cell: 8.110 6.553 6.969 Å, 90.00 115.30 90.00°
Space group P2_1/c (No. 14)
Inequivalent atoms, fractional coordinates:
Tb: 0.218 0.138 0.105 [4 per cell]
Ge: 0.242 0.617 0.122 [4 per cell]
H: 0.474 0.666 0.874 [4 per cell]
O: 0.081 0.689 0.537 [4 per cell]
O: 0.224 0.063 0.795 [4 per cell]
O: 0.274 0.040 0.437 [4 per cell]
O: 0.458 0.741 0.744 [4 per cell]

Most intense lines, 5° ≤ 2θ ≤ 70°, low angle first:
18.16 deg, rel. 320, hkl 1 1 0; 24.28 deg, rel. 1000, hkl 2 0 0; 25.56 deg, rel. 994, hkl 1 0 -2; 30.77 deg, rel. 818, hkl 1 2 -1; 35.41 deg, rel. 983, hkl 1 2 1; 35.54 deg, rel. 435, hkl 1 0 2; 48.44 deg, rel. 301, hkl 2 2 -3; 51.74 deg, rel. 423, hkl 0 2 3; 53.56 deg, rel. 433, hkl 4 2 -1; 68.24 deg, rel. 217, hkl 3 4 -2